Simulated powder XRD pattern
Compound: Sm9Y3Ho2
Radiation: Cu Kα (weighted mean of Kα1 and Kα2)
Structure: a cell relaxed with GGA-PBE
Kinematic intensities with the Lorentz-polarization factor, no thermal factor.

Top 10 peaks for 2θ from 10° to 90°, sorted by position:
d = 2.943 Å, 30.4°, I 42; d = 2.818 Å, 31.8°, I 100; d = 2.810 Å, 31.8°, I 52; d = 2.792 Å, 32.1°, I 87; d = 2.401 Å, 37.5°, I 15; d = 2.033 Å, 44.6°, I 29; d = 1.938 Å, 46.9°, I 17; d = 1.624 Å, 56.7°, I 19; d = 1.619 Å, 56.9°, I 17; d = 1.487 Å, 62.5°, I 43

Structure:
```
14
Lattice="8.6090 -5.2536 0.0000 8.6090 5.2536 0.0000 -1.8278 0.0000 5.3155" Properties=species:S:1:pos:R:3 pbc="T T T"
Sm 0.0000 0.0000 0.0000
Sm 2.7708 1.7590 0.9721
Sm 5.9319 3.4786 2.0590
Sm 3.4876 1.7368 4.1920
Sm 6.5026 1.7566 5.2337
Sm 2.7708 -1.7590 0.9721
Sm 3.4876 -1.7368 4.1920
Sm 6.5026 -1.7566 5.2337
Sm 5.9319 -3.4786 2.0590
Y 5.9853 0.0000 2.0814
Y 11.3083 0.0000 0.9440
Y 12.2045 0.0000 4.2252
Ho 9.1785 1.7826 3.1841
Ho 9.1785 -1.7826 3.1841
```